# 1
For In5SnBr8, a DFT-relaxed cell (PBE, Alexandria) gives the simulated powder XRD pattern in this record (copper Kα).

Principal peaks in the range 2θ from 15° to 90°, by angle:
| 2θ (°) | intensity |
| --- | --- |
| 22.54 | 14 |
| 29.23 | 100 |
| 34.74 | 62 |
| 41.81 | 19 |
| 43.96 | 14 |
| 46.02 | 12 |
| 48.02 | 22 |
| 58.93 | 27 |
| 62.28 | 13 |
| 71.80 | 19 |

Structure:
```
data_In5SnBr8
_cell_length_a 9.662
_cell_length_b 9.662
_cell_length_c 9.662
_cell_angle_alpha 90.00
_cell_angle_beta 90.00
_cell_angle_gamma 90.00
_space_group_name_H-M_alt 'I -4'
_space_group_IT_number 82
loop_
_space_group_symop_operation_xyz
'x,y,z'
'y,-x,-z'
'-x,-y,z'
'-y,x,-z'
'x+1/2,y+1/2,z+1/2'
'y+1/2,-x+1/2,-z+1/2'
'-x+1/2,-y+1/2,z+1/2'
'-y+1/2,x+1/2,-z+1/2'
loop_
_atom_site_label
_atom_site_fract_x
_atom_site_fract_y
_atom_site_fract_z
In1 0.000 0.000 0.000
In2 0.141 0.742 0.623
Sn1 0.000 0.500 0.250
Br1 0.063 0.804 0.310
Br2 0.071 0.675 0.956
```


# 2
For Pm4CI5, a DFT-relaxed cell (PBE, Alexandria) gives the simulated powder XRD pattern in this record (copper Kα).

Principal peaks in the range 2θ from 15° to 90°, by angle:
| 2θ (°) | intensity |
| --- | --- |
| 26.89 | 16 |
| 28.42 | 44 |
| 29.26 | 21 |
| 29.84 | 100 |
| 32.37 | 33 |
| 40.83 | 15 |
| 41.56 | 27 |
| 41.79 | 26 |
| 44.51 | 19 |
| 53.66 | 15 |

Structure:
```
data_Pm4CI5
_cell_length_a 19.320
_cell_length_b 4.071
_cell_length_c 8.841
_cell_angle_alpha 90.00
_cell_angle_beta 102.78
_cell_angle_gamma 90.00
_space_group_name_H-M_alt 'C 1 2/m 1'
_space_group_IT_number 12
loop_
_space_group_symop_operation_xyz
'x,y,z'
'-x,-y,-z'
'-x,y,-z'
'x,-y,z'
'x+1/2,y+1/2,z'
'-x+1/2,-y+1/2,-z'
'-x+1/2,y+1/2,-z'
'x+1/2,-y+1/2,z'
loop_
_atom_site_label
_atom_site_fract_x
_atom_site_fract_y
_atom_site_fract_z
Pm1 0.001 0.000 0.307
Pm2 0.133 0.500 0.566
C1 0.000 0.500 0.500
I1 0.000 0.500 0.000
I2 0.164 0.000 0.843
I3 0.169 0.000 0.321
```